The following is a calculated X-ray diffraction stick pattern of Pm2Hf4Be. It was derived from a GGA-PBE-relaxed structure, using λ = 1.5418 Å (Cu Kα).
No peak broadening, texture or thermal motion is included.

Main lines, in order of falling intensity (10 to 90 degrees two-theta):
2θ = 32.03°, d 2.794, intensity 100.0; 2θ = 35.58°, d 2.523, intensity 76.4; 2θ = 37.90°, d 2.374, intensity 66.6; 2θ = 13.11°, d 6.754, intensity 39.6; 2θ = 57.78°, d 1.596, intensity 36.4; 2θ = 19.62°, d 4.525, intensity 33.6; 2θ = 62.59°, d 1.484, intensity 28.9; 2θ = 41.92°, d 2.155, intensity 23.4

```
data_Pm2Hf4Be
_symmetry_space_group_name_H-M 'C m m m'
_symmetry_Int_Tables_number 65
_symmetry_space_group_name_Hall '-C 2 2'
_cell_length_a 7.340
_cell_length_b 17.240
_cell_length_c 3.113
_cell_angle_alpha 90.00
_cell_angle_beta 90.00
_cell_angle_gamma 90.00
loop_
_atom_site_label
_atom_site_fract_x
_atom_site_fract_y
_atom_site_fract_z
_atom_site_occupancy
Pm1 0.250 0.250 0.000 1
Hf1 0.000 0.135 0.500 1
Hf2 0.237 0.500 0.000 1
Be1 0.000 0.000 0.500 1
```